1.
Starting from a cell relaxed with PBE, the powder diffraction line list of PmPrPO was simulated for copper Kα.
Kinematic intensities with the Lorentz-polarization factor, no thermal factor.

Structural model:
Cell lengths 4.3303, 7.7756, 5.9517 Å; angles 90.00, 90.00, 90.00 degrees
Positions (direct):
Pm: 0.0000 0.1220 0.0000
Pm: 0.0000 0.8780 0.5000
Pr: 0.5000 0.3030 0.4431
Pr: 0.5000 0.6970 0.9431
P: 0.5000 0.3335 0.9408
P: 0.5000 0.6665 0.4408
O: 0.0000 0.1686 0.3845
O: 0.0000 0.8314 0.8845

Top 10 peaks for 2θ = 5–70°, in order of falling intensity:
Position (°2θ), Rel. int.
27.9, 100
23.5, 66
30.0, 54
27.4, 53
40.6, 34
38.5, 30
51.3, 29
41.7, 26
52.2, 22
37.9, 20

2.
Starting from a cell relaxed with PBE, the powder diffraction line list of RbPmPO was simulated for copper Kα.
Kinematic intensities with the Lorentz-polarization factor, no thermal factor.

Structural model:
Cell lengths 4.1940, 4.1940, 10.7918 Å; angles 90.00, 90.00, 90.00 degrees
Positions (direct):
Rb: 0.2500 0.7500 0.0000
Rb: 0.7500 0.2500 0.0000
Pm: 0.2500 0.2500 0.4020
Pm: 0.7500 0.7500 0.5980
P: 0.2500 0.2500 0.7684
P: 0.7500 0.7500 0.2316
O: 0.2500 0.7500 0.5000
O: 0.7500 0.2500 0.5000

Top 10 peaks for 2θ = 5–70°, in order of falling intensity:
Position (°2θ), Rel. int.
31.3, 100
26.9, 90
32.8, 74
16.4, 51
43.1, 46
45.4, 37
8.2, 34
55.2, 33
51.6, 30
60.2, 27

3.
Starting from a cell relaxed with PBE, the powder diffraction line list of PmSbPO was simulated for copper Kα.
Kinematic intensities with the Lorentz-polarization factor, no thermal factor.

Structural model:
Cell lengths 4.3108, 6.1123, 6.2593 Å; angles 90.00, 90.00, 90.00 degrees
Positions (direct):
Pm: 0.0000 0.2231 0.0000
Pm: 0.0000 0.7769 0.5000
Sb: 0.5000 0.3724 0.4030
Sb: 0.5000 0.6276 0.9030
P: 0.5000 0.0756 0.7018
P: 0.5000 0.9244 0.2018
O: 0.0000 0.4226 0.3286
O: 0.0000 0.5774 0.8286

Top 10 peaks for 2θ = 5–70°, in order of falling intensity:
Position (°2θ), Rel. int.
29.1, 100
32.6, 25
28.5, 20
41.9, 19
64.7, 16
20.3, 15
38.5, 14
35.4, 13
46.9, 13
46.0, 13

4.
Starting from a cell relaxed with PBE, the powder diffraction line list of P2PtO7 was simulated for copper Kα.
Kinematic intensities with the Lorentz-polarization factor, no thermal factor.

Structural model:
Cell lengths 4.7454, 6.7320, 7.9029 Å; angles 91.20, 91.48, 107.74 degrees
Positions (direct):
P: 0.0481 0.1464 0.2659
P: 0.3864 0.2556 0.8083
P: 0.6136 0.7444 0.1917
P: 0.9519 0.8536 0.7341
Pt: 0.0000 0.5000 0.0000
Pt: 0.5000 0.0000 0.5000
O: 0.1024 0.8170 0.5718
O: 0.1668 0.3406 0.1620
O: 0.1825 0.0244 0.8524
O: 0.1975 0.4045 0.8073
O: 0.3187 0.0707 0.2908
O: 0.3780 0.7257 0.0508
O: 0.4831 0.2600 0.6234
O: 0.5169 0.7400 0.3766
O: 0.6220 0.2743 0.9492
O: 0.6813 0.9293 0.7092
O: 0.8025 0.5955 0.1927
O: 0.8175 0.9756 0.1476
O: 0.8332 0.6594 0.8380
O: 0.8976 0.1830 0.4282

Top 10 peaks for 2θ = 5–70°, in order of falling intensity:
Position (°2θ), Rel. int.
17.6, 100
18.1, 81
23.0, 43
30.3, 42
22.3, 35
27.4, 34
30.7, 32
30.9, 28
20.3, 26
31.1, 20

5.
Starting from a cell relaxed with PBE, the powder diffraction line list of TaPPtO was simulated for copper Kα.
Kinematic intensities with the Lorentz-polarization factor, no thermal factor.

Structural model:
Cell lengths 3.6561, 3.6561, 7.8993 Å; angles 90.00, 90.00, 90.00 degrees
Positions (direct):
Ta: 0.2500 0.2500 0.1628
Ta: 0.7500 0.7500 0.8372
P: 0.2500 0.2500 0.7183
P: 0.7500 0.7500 0.2817
Pt: 0.2500 0.7500 0.5000
Pt: 0.7500 0.2500 0.5000
O: 0.2500 0.7500 0.0000
O: 0.7500 0.2500 0.0000

Top 10 peaks for 2θ = 5–70°, in order of falling intensity:
Position (°2θ), Rel. int.
41.8, 100
36.6, 99
33.4, 53
49.9, 51
34.0, 49
26.9, 47
11.2, 43
61.8, 37
58.8, 31
61.4, 19

6.
Starting from a cell relaxed with PBE, the powder diffraction line list of RbZrP2Se2S2O3 was simulated for copper Kα.
Kinematic intensities with the Lorentz-polarization factor, no thermal factor.

Structural model:
Cell lengths 6.4349, 6.4349, 6.4925 Å; angles 98.09, 98.09, 97.16 degrees
Positions (direct):
Rb: 0.0000 0.0000 0.0000
Zr: 0.4021 0.5979 0.5000
P: 0.5460 0.0983 0.4398
P: 0.9017 0.4540 0.5602
Se: 0.1788 0.4926 0.8077
Se: 0.5074 0.8212 0.1923
S: 0.0094 0.5382 0.3000
S: 0.4618 0.9906 0.7000
O: 0.4277 0.2747 0.3642
O: 0.7253 0.5723 0.6358
O: 0.8011 0.1989 0.5000

Top 10 peaks for 2θ = 5–70°, in order of falling intensity:
Position (°2θ), Rel. int.
21.4, 100
31.6, 78
33.8, 74
14.0, 66
18.2, 58
28.3, 58
18.4, 58
33.7, 54
29.8, 42
46.9, 41

7.
Starting from a cell relaxed with PBE, the powder diffraction line list of RbZrP2Se6O was simulated for copper Kα.
Kinematic intensities with the Lorentz-polarization factor, no thermal factor.

Structural model:
Cell lengths 7.0219, 7.0219, 6.7641 Å; angles 96.52, 96.52, 102.99 degrees
Positions (direct):
Rb: 0.0000 0.0000 0.0000
Zr: 0.4288 0.5712 0.5000
P: 0.5991 0.0535 0.4255
P: 0.9465 0.4009 0.5745
Se: 0.0518 0.5150 0.3028
Se: 0.2219 0.4244 0.7866
Se: 0.4749 0.2651 0.2487
Se: 0.4850 0.9482 0.6972
Se: 0.5756 0.7781 0.2134
Se: 0.7349 0.5251 0.7513
O: 0.8387 0.1613 0.5000

Top 10 peaks for 2θ = 5–70°, in order of falling intensity:
Position (°2θ), Rel. int.
30.6, 100
13.1, 59
30.9, 59
31.3, 55
26.3, 53
28.8, 41
42.6, 39
17.3, 37
47.5, 35
21.0, 35

8.
Starting from a cell relaxed with PBE, the powder diffraction line list of RbTbPO was simulated for copper Kα.
Kinematic intensities with the Lorentz-polarization factor, no thermal factor.

Structural model:
Cell lengths 4.7857, 8.0736, 6.6879 Å; angles 90.00, 90.00, 90.00 degrees
Positions (direct):
Rb: 0.0000 0.2080 0.0000
Rb: 0.0000 0.7920 0.5000
Tb: 0.5000 0.3730 0.5740
Tb: 0.5000 0.6270 0.0740
P: 0.0000 0.2106 0.4906
P: 0.0000 0.7894 0.9906
O: 0.5000 0.4155 0.8891
O: 0.5000 0.5845 0.3891

Top 10 peaks for 2θ = 5–70°, in order of falling intensity:
Position (°2θ), Rel. int.
25.4, 100
21.6, 73
11.0, 61
25.8, 61
26.7, 51
31.9, 36
37.6, 30
34.6, 27
28.9, 27
38.4, 27

9.
Starting from a cell relaxed with PBE, the powder diffraction line list of Rb2Zn3P4O14 was simulated for copper Kα.
Kinematic intensities with the Lorentz-polarization factor, no thermal factor.

Structural model:
Cell lengths 7.1602, 7.1812, 13.0774 Å; angles 90.00, 92.01, 90.00 degrees
Positions (direct):
Rb: 0.0512 0.0000 0.0819
Rb: 0.3895 0.2579 0.5917
Rb: 0.6105 0.7579 0.4083
Rb: 0.9488 0.5000 0.9181
Zn: 0.2095 0.6314 0.2376
Zn: 0.2095 0.7479 0.5991
Zn: 0.4529 0.6650 0.8858
Zn: 0.5471 0.1650 0.1142
Zn: 0.7905 0.1314 0.7624
Zn: 0.7905 0.2479 0.4009
P: 0.1102 0.9752 0.3938
P: 0.1606 0.9644 0.8108
P: 0.3614 0.2676 0.3176
P: 0.4300 0.2400 0.8877
P: 0.5700 0.7400 0.1123
P: 0.6386 0.7676 0.6824
P: 0.8394 0.4644 0.1892
P: 0.8898 0.4752 0.6062
O: 0.0016 0.0736 0.8582
O: 0.0897 0.5081 0.5717
O: 0.1142 0.9178 0.6993
O: 0.1164 0.8658 0.2948
O: 0.1802 0.1861 0.3722
O: 0.2176 0.8018 0.8805
O: 0.2435 0.9012 0.4779
O: 0.3306 0.4242 0.8643
O: 0.3420 0.2184 0.2042
O: 0.3425 0.0978 0.8024
O: 0.3480 0.4783 0.3370
O: 0.3617 0.7451 0.1311
O: 0.3835 0.1603 0.9919
O: 0.4722 0.6759 0.6261
O: 0.5278 0.1759 0.3739
O: 0.6165 0.6603 0.0081
O: 0.6383 0.2451 0.8689
O: 0.6520 0.9783 0.6630
O: 0.6575 0.5978 0.1976
O: 0.6580 0.7184 0.7958
O: 0.6694 0.9242 0.1357
O: 0.7565 0.4012 0.5221
O: 0.7824 0.3018 0.1195
O: 0.8198 0.6861 0.6278
O: 0.8836 0.3658 0.7052
O: 0.8858 0.4178 0.3007
O: 0.9103 0.0081 0.4283
O: 0.9984 0.5736 0.1418

Top 10 peaks for 2θ = 5–70°, in order of falling intensity:
Position (°2θ), Rel. int.
27.8, 100
23.9, 58
27.3, 41
35.0, 20
25.6, 19
24.3, 17
28.9, 17
25.7, 17
21.9, 16
28.5, 14

10.
Starting from a cell relaxed with PBE, the powder diffraction line list of Re2P2O11 was simulated for copper Kα.
Kinematic intensities with the Lorentz-polarization factor, no thermal factor.

Structural model:
Cell lengths 15.1168, 6.3206, 7.7168 Å; angles 90.00, 90.00, 90.00 degrees
Positions (direct):
Re: 0.0243 0.2500 0.2348
Re: 0.2125 0.2500 0.9379
Re: 0.2875 0.7500 0.4379
Re: 0.4757 0.7500 0.7348
Re: 0.5243 0.2500 0.2652
Re: 0.7125 0.2500 0.5621
Re: 0.7875 0.7500 0.0621
Re: 0.9757 0.7500 0.7652
P: 0.0649 0.7500 0.3515
P: 0.2378 0.2500 0.3721
P: 0.2622 0.7500 0.8721
P: 0.4351 0.2500 0.8515
P: 0.5649 0.7500 0.1485
P: 0.7378 0.2500 0.1279
P: 0.7622 0.7500 0.6279
P: 0.9351 0.2500 0.6485
O: 0.0266 0.5611 0.2534
O: 0.0266 0.9389 0.2534
O: 0.0397 0.7500 0.5429
O: 0.0652 0.7500 0.8990
O: 0.1062 0.2500 0.0572
O: 0.1360 0.2500 0.3860
O: 0.1628 0.2500 0.7400
O: 0.1660 0.7500 0.3413
O: 0.2233 0.5583 0.9698
O: 0.2233 0.9417 0.9698
O: 0.2310 0.7500 0.6833
O: 0.2690 0.2500 0.1833
O: 0.2767 0.0583 0.4698
O: 0.2767 0.4417 0.4698
O: 0.3340 0.2500 0.8413
O: 0.3372 0.7500 0.2400
O: 0.3640 0.7500 0.8860
O: 0.3938 0.7500 0.5572
O: 0.4348 0.2500 0.3990
O: 0.4603 0.2500 0.0429
O: 0.4734 0.0611 0.7534
O: 0.4734 0.4389 0.7534
O: 0.5266 0.5611 0.2466
O: 0.5266 0.9389 0.2466
O: 0.5397 0.7500 0.9571
O: 0.5652 0.7500 0.6010
O: 0.6062 0.2500 0.4428
O: 0.6360 0.2500 0.1140
O: 0.6628 0.2500 0.7600
O: 0.6660 0.7500 0.1587
O: 0.7233 0.5583 0.5302
O: 0.7233 0.9417 0.5302
O: 0.7310 0.7500 0.8167
O: 0.7690 0.2500 0.3167
O: 0.7767 0.0583 0.0302
O: 0.7767 0.4417 0.0302
O: 0.8340 0.2500 0.6587
O: 0.8372 0.7500 0.2600
O: 0.8640 0.7500 0.6140
O: 0.8938 0.7500 0.9428
O: 0.9348 0.2500 0.1010
O: 0.9603 0.2500 0.4571
O: 0.9734 0.0611 0.7466
O: 0.9734 0.4389 0.7466

Top 10 peaks for 2θ = 5–70°, in order of falling intensity:
Position (°2θ), Rel. int.
21.6, 100
28.2, 91
25.9, 89
19.1, 87
23.5, 56
45.0, 39
23.8, 39
26.3, 35
18.3, 29
36.2, 29

11.
Starting from a cell relaxed with PBE, the powder diffraction line list of ReP2O7 was simulated for copper Kα.
Kinematic intensities with the Lorentz-polarization factor, no thermal factor.

Structural model:
Cell lengths 4.8355, 6.8748, 8.0179 Å; angles 91.19, 91.97, 107.98 degrees
Positions (direct):
Re: 0.0000 0.0000 0.0000
Re: 0.5000 0.5000 0.5000
P: 0.0446 0.6426 0.2634
P: 0.3808 0.7527 0.8088
P: 0.6192 0.2473 0.1912
P: 0.9554 0.3574 0.7366
O: 0.1104 0.3285 0.5790
O: 0.1399 0.8334 0.1624
O: 0.1785 0.5282 0.8550
O: 0.2027 0.9006 0.8169
O: 0.3103 0.5725 0.2958
O: 0.3749 0.2184 0.0587
O: 0.4702 0.7469 0.6278
O: 0.5298 0.2531 0.3722
O: 0.6251 0.7816 0.9413
O: 0.6897 0.4275 0.7042
O: 0.7973 0.0994 0.1831
O: 0.8215 0.4718 0.1450
O: 0.8601 0.1666 0.8376
O: 0.8896 0.6715 0.4210

Top 10 peaks for 2θ = 5–70°, in order of falling intensity:
Position (°2θ), Rel. int.
17.2, 100
17.8, 79
30.3, 57
29.7, 47
22.7, 43
21.9, 33
27.0, 33
19.9, 23
36.0, 21
30.4, 20